# GdSnAuSe2S
Simulated X-ray powder pattern, Cu Kα (λ = 1.5418 Å). Input: a crystal structure in OQMD, relaxed with PBE.

Top 10 peaks for 2θ = 10–90°, by angle:
2θ/deg, I (rel.)
12.96, 43
26.10, 19
28.69, 52
30.71, 52
34.28, 100
34.78, 52
39.61, 21
43.59, 27
44.00, 19
44.50, 28

Crystal structure
```
data_GdSnAuSe2S
_symmetry_space_group_name_H-M 'C m c m'
_symmetry_Int_Tables_number 63
_symmetry_space_group_name_Hall '-C 2c 2'
_cell_length_a 4.072
_cell_length_b 13.657
_cell_length_c 10.315
_cell_angle_alpha 90.00
_cell_angle_beta 90.00
_cell_angle_gamma 90.00
loop_
_atom_site_label
_atom_site_type_symbol
_atom_site_fract_x
_atom_site_fract_y
_atom_site_fract_z
Gd1 Gd 0.000 0.000 0.000
Sn1 Sn 0.000 0.253 0.250
Au1 Au 0.000 0.471 0.750
Se1 Se 0.000 0.350 0.555
S1 S 0.000 0.090 0.750
```